Record 1
Simulated X-ray diffraction stick pattern
Compound: GdSeClO3
Radiation: copper Kα
Structure: the PBE geometry in OQMD
Intensities are scaled so that the largest is 1000.

The 10 most intense peaks (2θ = 10–90°), by angle:
2θ (°)  d/Å  I_rel
15.9  5.574  934
20.0  4.439  331
23.6  3.773  650
25.4  3.509  1000
28.0  3.190  536
29.8  3.002  393
32.7  2.735  312
34.6  2.590  418
41.2  2.190  449
41.9  2.157  349

Structural model:
abc: 7.162 7.018 8.878
angles: 90.00 90.00 90.00
Space group Pnma (No. 62)
Symmetry-distinct sites (fractional):
Gd (0.105, 0.250, 0.041) x4
Se (0.203, 0.250, 0.633) x4
Cl (0.049, 0.750, 0.678) x4
O (0.147, 0.573, 0.066) x8
O (0.245, 0.750, 0.320) x4

Record 2
Simulated X-ray diffraction stick pattern
Compound: Sr3Ta2O8
Radiation: copper Kα
Structure: the PBE geometry in OQMD
Intensities are scaled so that the largest is 1000.

The 10 most intense peaks (2θ = 10–90°), by angle:
2θ (°)  d/Å  I_rel
17.9  4.967  224
28.2  3.161  966
30.2  2.960  1000
41.8  2.161  432
48.7  1.870  279
52.4  1.745  372
53.6  1.709  199
62.8  1.480  171
67.1  1.394  204
78.4  1.220  185

Structural model:
abc: 5.9196 5.9196 20.0799
angles: 90.00 90.00 120.00
Space group R-3m (No. 166, hexagonal axes)
Symmetry-distinct sites (fractional):
Sr (0.0000, 0.0000, 0.0000) x3
Sr (0.0000, 0.0000, 0.1943) x6
Ta (0.0000, 0.0000, 0.4040) x6
O (0.0000, 0.0000, 0.3120) x6
O (0.0102, 0.5051, 0.7677) x18